Record 1
SmErTi2Fe16Co6: computed powder XRD pattern (Cu Kα (λ = 1.5418 Å)), based on a cell relaxed with GGA-PBE.
Kinematic intensities with the Lorentz-polarization factor, no thermal factor.

Main lines, most intense first (15 to 90 degrees two-theta):
hkl  2theta  intensity
5 1 -1  43.11  100
2 2 2  44.01  71
4 0 4  42.80  61
3 1 -3  37.19  46
3 1 -1  30.32  40
4 2 0  49.26  24
5 3 -1  72.44  20
9 1 3  78.61  19
6 2 -6  79.25  18
0 2 0  38.21  17

Cell and atoms:
Unit cell a=11.9592 b=4.7114 c=11.9427 alpha=90.00 beta=90.00 gamma=90.00
Space group Cm (No. 8)
Asymmetric unit:
Sm1 0.0000 0.0000 0.0000 x2
Er1 0.0005 0.5000 0.4999 x2
Ti1 0.3094 0.0000 0.3106 x2
Ti2 0.3095 0.5000 0.8080 x2
Fe1 0.1068 0.0000 0.3880 x2
Fe2 0.1085 0.5000 0.8845 x2
Fe3 0.1134 0.0000 0.6124 x2
Fe4 0.1154 0.5000 0.1160 x2
Fe5 0.2474 0.2495 0.4987 x4
Fe6 0.2475 0.2506 0.9987 x4
Fe7 0.3838 0.0000 0.8829 x2
Fe8 0.3856 0.0000 0.1093 x2
Fe9 0.3856 0.5000 0.3862 x2
Fe10 0.3874 0.5000 0.6058 x2
Fe11 0.4987 0.2490 0.2488 x4
Fe12 0.4988 0.2502 0.7457 x4
Co1 0.1720 0.5000 0.6709 x2
Co2 0.1728 0.0000 0.1733 x2
Co3 0.1779 0.5000 0.3207 x2
Co4 0.1789 0.0000 0.8180 x2
Co5 0.3191 0.5000 0.1796 x2
Co6 0.3201 0.0000 0.6767 x2

***

Record 2
Er10Ga5Co: computed powder XRD pattern (Cu Kα (λ = 1.5418 Å)), based on a cell relaxed with GGA-PBE.
Kinematic intensities with the Lorentz-polarization factor, no thermal factor.

Main lines, most intense first (15 to 90 degrees two-theta):
hkl  2theta  intensity
1 3 3  32.82  100
3 3 1  33.19  93
2 4 2  35.30  73
4 0 2  38.12  49
1 1 3  27.06  39
2 0 4  37.62  38
0 6 0  39.12  24
4 6 2  55.74  23
3 1 1  27.54  20
2 4 0  30.98  19

Cell and atoms:
Unit cell a=10.5139 b=13.8154 c=10.7379 alpha=90.00 beta=90.00 gamma=90.00
Space group Fmm2 (No. 42)
Asymmetric unit:
Er1 0.0000 0.1444 0.0000 x8
Er2 0.0000 0.1478 0.3420 x8
Er3 0.1623 0.1449 0.6776 x16
Er4 0.2414 0.0000 0.9208 x8
Ga1 0.0000 0.0000 0.5521 x4
Ga2 0.1250 0.0000 0.1762 x8
Ga3 0.2500 0.2500 0.4257 x8
Co1 0.0000 0.0000 0.7968 x4

***

Record 3
ErGa2Co3: computed powder XRD pattern (Cu Kα (λ = 1.5418 Å)), based on a cell relaxed with GGA-PBE.
Kinematic intensities with the Lorentz-polarization factor, no thermal factor.

Main lines, most intense first (15 to 90 degrees two-theta):
hkl  2theta  intensity
3 0 1  42.24  100
2 1 1  38.73  78
3 0 0  34.81  72
2 2 0  40.41  58
2 0 1  32.89  49
0 0 2  47.39  43
1 0 1  25.93  39
2 2 1  47.10  37
3 0 2  60.13  30
2 2 2  64.00  28

Cell and atoms:
Unit cell a=8.9275 b=8.9275 c=3.8366 alpha=90.00 beta=90.00 gamma=120.00
Space group P6/mmm (No. 191)
Asymmetric unit:
Er1 0.0000 0.0000 0.0000 x1
Er2 0.3333 0.6667 0.5000 x2
Ga1 0.0000 0.3152 0.5000 x6
Co1 0.0000 0.5000 0.0000 x3
Co2 0.1832 0.3664 0.0000 x6

***

Record 4
Er2Ga8Co: computed powder XRD pattern (Cu Kα (λ = 1.5418 Å)), based on a cell relaxed with GGA-PBE.
Kinematic intensities with the Lorentz-polarization factor, no thermal factor.

Main lines, most intense first (15 to 90 degrees two-theta):
hkl  2theta  intensity
1 1 3  38.74  100
2 0 0  42.58  59
1 1 2  34.00  54
2 0 5  60.56  28
3 1 3  75.37  27
1 0 0  20.92  23
0 0 5  40.95  23
2 2 0  61.80  19
2 2 5  76.83  14
1 1 8  76.02  13

Cell and atoms:
Unit cell a=4.2463 b=4.2463 c=11.0183 alpha=90.00 beta=90.00 gamma=90.00
Space group P4/mmm (No. 123)
Asymmetric unit:
Er1 0.0000 0.0000 0.1947 x2
Ga1 0.0000 0.5000 0.0000 x2
Ga2 0.0000 0.5000 0.3835 x4
Ga3 0.5000 0.5000 0.1981 x2
Co1 0.0000 0.0000 0.5000 x1

***

Record 5
Er2Ga3Co: computed powder XRD pattern (Cu Kα (λ = 1.5418 Å)), based on a cell relaxed with GGA-PBE.
Kinematic intensities with the Lorentz-polarization factor, no thermal factor.

Main lines, most intense first (15 to 90 degrees two-theta):
hkl  2theta  intensity
2 0 2  35.32  100
2 2 0  41.39  51
2 1 1  33.99  24
2 0 0  23.55  20
4 0 2  55.52  17
3 2 3  67.80  14
3 0 1  38.05  13
4 2 2  71.56  10
1 0 3  41.20  9
2 2 4  69.69  9

Cell and atoms:
Unit cell a=8.7255 b=8.7255 c=6.8687 alpha=90.00 beta=90.00 gamma=120.00
Space group P6_3/mmc (No. 194)
Asymmetric unit:
Er1 0.0000 0.0000 0.2500 x2
Er2 0.0568 0.5284 0.2500 x6
Ga1 0.1726 0.3451 0.5494 x12
Co1 0.3333 0.6667 0.5482 x4

***

Record 6
Er3GaCoS7: computed powder XRD pattern (Cu Kα (λ = 1.5418 Å)), based on a cell relaxed with GGA-PBE.
Kinematic intensities with the Lorentz-polarization factor, no thermal factor.

Main lines, most intense first (15 to 90 degrees two-theta):
hkl  2theta  intensity
2 0 1  26.14  100
2 2 0  37.97  36
2 0 2  36.63  32
2 0 3  49.92  29
3 0 1  35.95  25
1 0 1  18.08  24
1 2 2  41.44  21
1 2 0  28.78  19
0 0 2  29.18  16
2 2 2  48.59  16

Cell and atoms:
Unit cell a=9.4783 b=9.4783 c=6.1214 alpha=90.00 beta=90.00 gamma=120.00
Space group P6_3 (No. 173)
Asymmetric unit:
Er1 0.1550 0.3735 0.0000 x6
Ga1 0.3333 0.6667 0.4281 x2
Co1 0.0000 0.0000 0.3335 x2
S1 0.0843 0.5661 0.2679 x6
S2 0.0974 0.2256 0.5906 x6
S3 0.3333 0.6667 0.7962 x2

***

Record 7
Er2CoGe2: computed powder XRD pattern (Cu Kα (λ = 1.5418 Å)), based on a cell relaxed with GGA-PBE.
Kinematic intensities with the Lorentz-polarization factor, no thermal factor.

Main lines, most intense first (15 to 90 degrees two-theta):
hkl  2theta  intensity
1 1 -3  34.55  100
3 1 -1  33.86  89
3 1 1  41.56  45
0 2 0  43.33  42
3 1 -3  37.54  38
0 0 4  40.56  24
3 1 -2  34.23  21
7 1 -3  66.96  20
3 1 3  56.92  19
1 1 1  27.26  15

Cell and atoms:
Unit cell a=10.3865 b=4.1769 c=10.0852 alpha=90.00 beta=118.09 gamma=90.00
Space group C2/m (No. 12)
Asymmetric unit:
Er1 0.0061 0.0000 0.3325 x4
Er2 0.1873 0.0000 0.1108 x4
Co1 0.2246 0.5000 0.3589 x4
Ge1 0.0132 0.5000 0.8748 x4
Ge2 0.1522 0.5000 0.5660 x4

***

Record 8
Er2CoGe6: computed powder XRD pattern (Cu Kα (λ = 1.5418 Å)), based on a cell relaxed with GGA-PBE.
Kinematic intensities with the Lorentz-polarization factor, no thermal factor.

Main lines, most intense first (15 to 90 degrees two-theta):
hkl  2theta  intensity
1 1 3  33.98  100
0 0 8  33.48  39
1 1 5  38.03  24
2 0 0  44.78  23
0 2 0  45.55  23
0 1 9  44.35  18
0 2 8  57.69  16
2 2 0  65.78  15
0 1 3  25.61  13
1 1 7  43.49  12

Cell and atoms:
Unit cell a=4.0479 b=3.9834 c=21.4095 alpha=90.00 beta=90.00 gamma=90.00
Space group Amm2 (No. 38)
Asymmetric unit:
Er1 0.0000 0.0000 0.0000 x2
Er2 0.0000 0.0000 0.3366 x2
Co1 0.5000 0.0000 0.7779 x2
Ge1 0.0000 0.0000 0.6053 x2
Ge2 0.0000 0.0000 0.7225 x2
Ge3 0.5000 0.0000 0.1036 x2
Ge4 0.5000 0.0000 0.2218 x2
Ge5 0.5000 0.0000 0.4592 x2
Ge6 0.5000 0.0000 0.8842 x2

***

Record 9
ErCoGe: computed powder XRD pattern (Cu Kα (λ = 1.5418 Å)), based on a cell relaxed with GGA-PBE.
Kinematic intensities with the Lorentz-polarization factor, no thermal factor.

Main lines, most intense first (15 to 90 degrees two-theta):
hkl  2theta  intensity
2 1 1  36.16  100
1 1 2  35.35  54
0 1 3  43.37  36
2 0 2  36.30  34
0 2 0  43.02  33
4 1 1  60.04  28
0 1 1  24.51  23
3 1 4  70.37  22
3 0 1  41.72  20
2 2 2  57.51  18

Cell and atoms:
Unit cell a=6.8087 b=4.2053 c=7.2087 alpha=90.00 beta=90.00 gamma=90.00
Space group Pnma (No. 62)
Asymmetric unit:
Er1 0.0076 0.2500 0.1982 x4
Co1 0.1674 0.7500 0.4265 x4
Ge1 0.1996 0.2500 0.5985 x4

***

Record 10
ErCo2Ge2: computed powder XRD pattern (Cu Kα (λ = 1.5418 Å)), based on a cell relaxed with GGA-PBE.
Kinematic intensities with the Lorentz-polarization factor, no thermal factor.

Main lines, most intense first (15 to 90 degrees two-theta):
hkl  2theta  intensity
1 0 3  35.06  100
1 1 2  36.82  94
2 0 0  46.02  59
2 1 3  59.14  44
1 0 5  50.81  32
1 1 0  32.09  30
2 1 5  70.96  24
3 1 2  79.08  19
1 1 6  64.72  19
2 2 0  67.12  18

Cell and atoms:
Unit cell a=3.9445 b=3.9445 c=10.0926 alpha=90.00 beta=90.00 gamma=90.00
Space group I4/mmm (No. 139)
Asymmetric unit:
Er1 0.0000 0.0000 0.0000 x2
Co1 0.0000 0.5000 0.2500 x4
Ge1 0.0000 0.0000 0.3731 x4